Structure and calculated XRD peak list of Tb2NdVN4 (a DFT-relaxed cell (GGA-PBE, Alexandria); CuKα).

The 10 most intense peaks (10 to 90 degrees two-theta), low angle first:
d 3.276, 2θ = 27.22°, I = 60; d 2.952, 2θ = 30.27°, I = 65; d 2.862, 2θ = 31.25°, I = 100; d 2.515, 2θ = 35.70°, I = 45; d 2.360, 2θ = 38.13°, I = 46; d 1.916, 2θ = 47.45°, I = 23; d 1.843, 2θ = 49.45°, I = 22; d 1.741, 2θ = 52.58°, I = 46; d 1.511, 2θ = 61.37°, I = 26; d 1.475, 2θ = 63.04°, I = 18

Structure:
```
data_Tb2NdVN4
_symmetry_space_group_name_H-M 'P 1'
_symmetry_Int_Tables_number 1
_cell_length_a 6.139
_cell_length_b 6.139
_cell_length_c 11.823
_cell_angle_alpha 90.00
_cell_angle_beta 90.00
_cell_angle_gamma 147.81
loop_
_symmetry_equiv_pos_as_xyz
'x,y,z'
loop_
_atom_site_label
_atom_site_type_symbol
_atom_site_fract_x
_atom_site_fract_y
_atom_site_fract_z
Tb1 Tb 0.130 0.870 0.542
Tb2 Tb 0.130 0.870 0.958
Tb3 Tb 0.870 0.130 0.042
Tb4 Tb 0.870 0.130 0.458
Nd1 Nd 0.416 0.584 0.750
Nd2 Nd 0.584 0.416 0.250
V1 V 0.325 0.675 0.250
V2 V 0.675 0.325 0.750
N1 N 0.079 0.921 0.750
N2 N 0.236 0.764 0.126
N3 N 0.236 0.764 0.374
N4 N 0.500 0.500 0.000
N5 N 0.500 0.500 0.500
N6 N 0.764 0.236 0.626
N7 N 0.764 0.236 0.874
N8 N 0.921 0.079 0.250
```